(1)
Theoretical powder diffraction line list of ZrHgPd2 for a wavelength of 1.5418 Å, from the PBE geometry in Alexandria.

Cell and atoms:
Lattice parameters (Å, degrees): 4.8975 5.9035 4.9624 90.00 90.00 90.00
Space group Pmmn (No. 59, origin choice 2)
One atom of each set of equivalent atoms:
Zr 0.2500 0.2500 0.1778 [2 per cell]
Hg 0.2500 0.7500 0.1817 [2 per cell]
Pd 0.2500 0.5023 0.6762 [4 per cell]

Principal peaks in the range 10° ≤ 2θ ≤ 90°, low angle first:
2theta	intensity	hkl
35.38	16	0 2 1
36.20	16	0 0 2
36.70	39	2 0 0
40.03	100	1 2 1
40.77	36	1 0 2
64.59	14	0 2 3
68.33	20	3 2 1
76.65	17	2 2 3



(2)
Theoretical powder diffraction line list of PmHg4 for a wavelength of 1.5418 Å, from the PBE geometry in Alexandria.

Cell and atoms:
Lattice parameters (Å, degrees): 4.9197 6.6776 15.3909 90.00 90.00 90.00
Space group Imma (No. 74)
One atom of each set of equivalent atoms:
Pm 0.0000 0.2500 0.1094 [4 per cell]
Hg 0.0000 0.0000 0.5000 [4 per cell]
Hg 0.0000 0.0010 0.6966 [8 per cell]
Hg 0.0000 0.2500 0.8986 [4 per cell]

Principal peaks in the range 10° ≤ 2θ ≤ 90°, low angle first:
2theta	intensity	hkl
32.94	93	1 2 1
34.37	100	1 0 5
35.60	36	0 2 4
36.53	43	2 0 0
44.54	21	0 2 6
51.93	25	2 2 4
66.49	30	1 4 5
67.86	18	2 4 0